# 1
Theoretical XRD peak list
Compound: Dy3Tm
Radiation: Cu Kα (λ = 1.5418 Å)
Structure: a cell relaxed with PBE

Main lines, sorted by position (2θ from 15° to 90°):
- 3.113 Å, 28.68°, I = 24, (0 2 2)
- 2.797 Å, 32.00°, I = 24, (2 0 0)
- 2.720 Å, 32.93°, I = 100, (1 2 2)
- 2.081 Å, 43.50°, I = 16, (2 2 2)
- 1.797 Å, 50.80°, I = 20, (0 4 0)
- 1.600 Å, 57.62°, I = 20, (3 2 2)
- 1.512 Å, 61.31°, I = 23, (2 4 0)
- 1.499 Å, 61.88°, I = 16, (1 4 4)
- 1.151 Å, 84.07°, I = 14, (1 6 2)
- 1.104 Å, 88.61°, I = 8, (4 4 0)

Unit cell a=5.594 b=7.189 c=12.451 alpha=90.00 beta=90.00 gamma=90.00
Space group Amm2 (No. 38)
Inequivalent atoms, fractional coordinates:
Dy (0.000, 0.000, 0.000) [2 per cell]
Dy (0.000, 0.000, 0.500) [2 per cell]
Dy (0.000, 0.250, 0.250) [4 per cell]
Dy (0.500, 0.000, 0.333) [2 per cell]
Dy (0.500, 0.000, 0.833) [2 per cell]
Tm (0.500, 0.250, 0.083) [4 per cell]



# 2
Theoretical XRD peak list
Compound: Li2AlZn2SnPt2
Radiation: Cu Kα (λ = 1.5418 Å)
Structure: a cell relaxed with PBE

Main lines, sorted by position (2θ from 15° to 90°):
- 3.594 Å, 24.77°, I = 100, (1 0 1)
- 2.207 Å, 40.89°, I = 90, (1 1 2)
- 2.189 Å, 41.25°, I = 45, (2 0 0)
- 1.892 Å, 48.08°, I = 15, (1 0 3)
- 1.869 Å, 48.71°, I = 33, (2 1 1)
- 1.548 Å, 59.75°, I = 15, (2 2 0)
- 1.432 Å, 65.17°, I = 12, (2 1 3)
- 1.278 Å, 74.21°, I = 14, (2 0 4)
- 1.267 Å, 74.94°, I = 30, (3 1 2)
- 1.104 Å, 88.63°, I = 9, (2 2 4)

Unit cell a=4.377 b=4.377 c=6.296 alpha=90.00 beta=90.00 gamma=90.00
Space group P-4m2 (No. 115)
Inequivalent atoms, fractional coordinates:
Li (0.000, 0.500, 0.235) [2 per cell]
Al (0.500, 0.500, 0.000) [1 per cell]
Zn (0.000, 0.000, 0.000) [1 per cell]
Zn (0.500, 0.500, 0.500) [1 per cell]
Sn (0.000, 0.000, 0.500) [1 per cell]
Pt (0.000, 0.500, 0.769) [2 per cell]



# 3
Theoretical XRD peak list
Compound: NbH4
Radiation: Cu Kα (λ = 1.5418 Å)
Structure: a cell relaxed with PBE

Main lines, sorted by position (2θ from 15° to 90°):
- 3.465 Å, 25.71°, I = 81, (1 0 1)
- 2.740 Å, 32.69°, I = 100, (2 1 0)
- 2.550 Å, 35.20°, I = 38, (4 0 0)
- 2.498 Å, 35.95°, I = 61, (3 0 1)
- 2.370 Å, 37.97°, I = 81, (1 1 1)
- 1.980 Å, 45.82°, I = 19, (3 1 1)
- 1.842 Å, 49.49°, I = 16, (0 0 2)
- 1.564 Å, 59.07°, I = 34, (5 1 1)
- 1.528 Å, 60.58°, I = 35, (2 1 2)
- 1.362 Å, 68.97°, I = 17, (3 2 1)

Unit cell a=10.199 b=3.248 c=3.684 alpha=90.00 beta=90.00 gamma=90.00
Space group Pnma (No. 62)
Inequivalent atoms, fractional coordinates:
Nb (0.139, 0.250, 0.007) [4 per cell]
H (0.039, 0.750, 0.830) [4 per cell]
H (0.084, 0.250, 0.504) [4 per cell]
H (0.165, 0.750, 0.280) [4 per cell]
H (0.202, 0.750, 0.765) [4 per cell]



# 4
Theoretical XRD peak list
Compound: K3OsSe4
Radiation: Cu Kα (λ = 1.5418 Å)
Structure: a cell relaxed with PBE

Main lines, sorted by position (2θ from 15° to 90°):
- 5.746 Å, 15.42°, I = 100, (1 1 0)
- 5.588 Å, 15.86°, I = 91, (0 1 2)
- 3.317 Å, 26.88°, I = 32, (3 0 0)
- 3.286 Å, 27.14°, I = 54, (1 2 2)
- 3.198 Å, 27.90°, I = 31, (1 0 4)
- 2.873 Å, 31.13°, I = 53, (2 2 0)
- 2.794 Å, 32.03°, I = 56, (0 2 4)
- 1.863 Å, 48.90°, I = 32, (0 3 6)
- 1.812 Å, 50.37°, I = 23, (4 2 2)
- 1.772 Å, 51.58°, I = 25, (2 2 6)

Unit cell a=11.4912 b=11.4912 c=13.5071 alpha=90.00 beta=90.00 gamma=120.00
Space group R3c (No. 161, hexagonal axes)
Inequivalent atoms, fractional coordinates:
K (0.1407, 0.3370, 0.0000) [18 per cell]
Os (0.0000, 0.0000, 0.1621) [6 per cell]
Se (0.0000, 0.0000, 0.3360) [6 per cell]
Se (0.2053, 0.4436, 0.2716) [18 per cell]



# 5
Theoretical XRD peak list
Compound: TbHfSi2
Radiation: Cu Kα (λ = 1.5418 Å)
Structure: a cell relaxed with PBE

Main lines, sorted by position (2θ from 15° to 90°):
- 3.112 Å, 28.69°, I = 51, (1 1 0)
- 3.082 Å, 28.97°, I = 36, (0 1 2)
- 2.871 Å, 31.16°, I = 100, (1 1 1)
- 2.650 Å, 33.83°, I = 77, (1 0 2)
- 2.579 Å, 34.79°, I = 87, (0 2 1)
- 2.387 Å, 37.68°, I = 48, (1 1 2)
- 2.261 Å, 39.86°, I = 41, (0 1 3)
- 2.129 Å, 42.45°, I = 39, (1 2 1)
- 1.655 Å, 55.52°, I = 37, (1 2 3)
- 1.523 Å, 60.83°, I = 35, (2 2 1)

Unit cell a=3.774 b=5.498 c=7.443 alpha=90.00 beta=90.00 gamma=90.00
Space group Pmc2_1 (No. 26)
Inequivalent atoms, fractional coordinates:
Tb (0.000, 0.128, 0.000) [2 per cell]
Hf (0.500, 0.373, 0.641) [2 per cell]
Si (0.000, 0.391, 0.362) [2 per cell]
Si (0.500, 0.125, 0.284) [2 per cell]